Record 1
Structure and theoretical X-ray diffraction stick pattern of La4Pr2As3N2 (DFT lattice parameters and positions (PBE); Cu Kα, 1.54184 Å).
Intensities are scaled so that the largest is 1000.

Top 10 peaks for 2θ from 10° to 90°, in order of rising 2θ:
2θ 27.4, I 676
2θ 28.2, I 215
2θ 30.1, I 215
2θ 31.1, I 163
2θ 34.1, I 1000
2θ 37.8, I 619
2θ 47.8, I 203
2θ 52.8, I 143
2θ 54.5, I 211
2θ 65.9, I 294

Atomic structure:
```
La4Pr2As3N2
1.0
-2.3795 2.3795 12.6474
2.3795 -2.3795 12.6474
2.3795 2.3795 -12.6474
La Pr As N
4 2 3 2
Cartesian
2.3795 0.0000 2.0441
2.3795 0.0000 10.6033
0.0000 2.3795 2.0441
0.0000 2.3795 10.6033
0.0000 0.0000 5.0196
0.0000 0.0000 20.2751
0.0000 0.0000 8.1566
0.0000 0.0000 12.6474
0.0000 0.0000 17.1381
0.0000 0.0000 2.6870
0.0000 0.0000 22.6077
```

***

Record 2
Structure and theoretical X-ray diffraction stick pattern of LaAs2SeN (DFT lattice parameters and positions (PBE); Cu Kα, 1.54184 Å).
Intensities are scaled so that the largest is 1000.

Top 10 peaks for 2θ from 10° to 90°, in order of rising 2θ:
2θ 27.4, I 70
2θ 34.0, I 1000
2θ 38.2, I 209
2θ 40.0, I 366
2θ 56.5, I 260
2θ 57.9, I 121
2θ 66.4, I 143
2θ 68.9, I 256
2θ 71.5, I 127
2θ 86.4, I 39

Atomic structure:
```
LaAs2SeN
1.0
4.5029 0.0000 0.0000
0.0000 4.5029 0.0000
0.0000 0.0000 4.7125
La As Se N
1 2 1 1
Cartesian
0.0000 0.0000 0.0000
0.0000 2.2514 2.3562
2.2514 0.0000 2.3562
2.2514 2.2514 0.0000
2.2514 2.2514 2.3562
```

***

Record 3
Structure and theoretical X-ray diffraction stick pattern of La2Tb4As3N2 (DFT lattice parameters and positions (PBE); Cu Kα, 1.54184 Å).
Intensities are scaled so that the largest is 1000.

Top 10 peaks for 2θ from 10° to 90°, in order of rising 2θ:
2θ 28.3, I 594
2θ 29.3, I 230
2θ 31.1, I 124
2θ 32.2, I 137
2θ 35.3, I 1000
2θ 39.1, I 550
2θ 49.6, I 215
2θ 56.5, I 187
2θ 64.4, I 117
2θ 68.4, I 309

Atomic structure:
```
La2Tb4As3N2
1.0
-2.3046 2.3046 12.2049
2.3046 -2.3046 12.2049
2.3046 2.3046 -12.2049
La Tb As N
2 4 3 2
Cartesian
0.0000 0.0000 4.7477
0.0000 0.0000 19.6620
2.3046 0.0000 1.9127
2.3046 0.0000 10.2921
0.0000 2.3046 1.9127
0.0000 2.3046 10.2921
0.0000 0.0000 8.0240
0.0000 0.0000 12.2049
0.0000 0.0000 16.3858
0.0000 0.0000 2.3796
0.0000 0.0000 22.0302
```

***

Record 4
Structure and theoretical X-ray diffraction stick pattern of La2NbAs3Rh4 (DFT lattice parameters and positions (PBE); Cu Kα, 1.54184 Å).
Intensities are scaled so that the largest is 1000.

Top 10 peaks for 2θ from 10° to 90°, in order of rising 2θ:
2θ 32.9, I 528
2θ 34.4, I 1000
2θ 42.8, I 579
2θ 45.5, I 207
2θ 47.6, I 276
2θ 55.0, I 240
2θ 62.1, I 188
2θ 65.9, I 205
2θ 73.0, I 218
2θ 86.0, I 131

Atomic structure:
```
La2NbAs3Rh4
1.0
4.2246 0.0000 0.0000
0.0000 4.2246 0.0000
0.0000 0.0000 10.7073
La Nb As Rh
2 1 3 4
Cartesian
0.0000 2.1123 2.5705
2.1123 0.0000 8.1368
0.0000 0.0000 5.3537
0.0000 2.1123 9.2628
2.1123 0.0000 1.4445
2.1123 2.1123 5.3537
0.0000 0.0000 0.0000
0.0000 2.1123 6.7901
2.1123 0.0000 3.9172
2.1123 2.1123 0.0000
```